(1)
For ZrTaZn2, DFT lattice parameters and positions (GGA-PBE) gives the calculated PXRD pattern in this record (a wavelength of 1.5418 Å).
Intensities are scaled so that the largest is 100.

Largest 10 diffraction maxima, in order of falling intensity, 2θ = 10–90°:
2θ (°)  I (rel.)
40.24  100
37.34  62
69.30  39
53.84  21
75.02  15
26.17  15
18.42  14
86.93  11
62.39  7
79.62  7

Cell and atoms:
```
4
Lattice="4.8165 0.0000 0.0000 0.0000 4.8165 0.0000 0.0000 0.0000 2.9766" Properties=species:S:1:pos:R:3 pbc="T T T"
Zr 0.0000 0.0000 0.0000
Ta 2.4083 2.4083 0.0000
Zn 0.0000 2.4083 1.4883
Zn 2.4083 0.0000 1.4883
```

(2)
For W3N4, DFT lattice parameters and positions (GGA-PBE) gives the calculated PXRD pattern in this record (a wavelength of 1.5418 Å).
Intensities are scaled so that the largest is 100.

Largest 10 diffraction maxima, in order of falling intensity, 2θ = 10–90°:
2θ (°)  I (rel.)
36.84  100
42.80  73
62.13  47
21.02  42
74.47  42
29.90  36
48.15  19
78.39  16
53.09  15
66.36  9

Cell and atoms:
```
7
Lattice="4.2257 0.0000 0.0000 0.0000 4.2257 0.0000 0.0000 0.0000 4.2257" Properties=species:S:1:pos:R:3 pbc="T T T"
W 0.0000 0.0000 2.1129
W 0.0000 2.1129 0.0000
W 2.1129 0.0000 0.0000
N 0.0000 0.0000 0.0000
N 0.0000 2.1129 2.1129
N 2.1129 0.0000 2.1129
N 2.1129 2.1129 0.0000
```

(3)
For Nd4Dy3Th2, DFT lattice parameters and positions (GGA-PBE) gives the calculated PXRD pattern in this record (a wavelength of 1.5418 Å).
Intensities are scaled so that the largest is 100.

Largest 10 diffraction maxima, in order of falling intensity, 2θ = 10–90°:
2θ (°)  I (rel.)
31.83  100
30.30  60
29.79  59
30.08  55
54.57  41
36.82  37
37.24  29
48.59  16
50.29  14
51.28  13

Cell and atoms:
```
18
Lattice="8.1857 -5.9421 0.0000 8.1857 5.9421 0.0000 -0.8449 0.0000 6.1501" Properties=species:S:1:pos:R:3 pbc="T T T"
Nd 6.5252 4.3159 6.0440
Nd 4.5225 1.5557 0.9343
Nd 8.5789 4.3159 3.1811
Nd 4.1001 -1.5557 4.0093
Nd 11.4265 1.5557 2.1407
Nd 6.9476 -4.3159 2.9689
Nd 11.0041 -1.5557 5.2158
Nd 9.0013 -4.3159 0.1061
Dy 2.2893 1.3403 3.5722
Dy 2.7117 -1.3403 0.4971
Dy 7.9745 1.2806 1.5375
Dy 7.5521 -1.2806 4.6126
Dy 12.8148 1.3403 5.6529
Dy 13.2373 -1.3403 2.5779
Th 5.8267 1.6277 4.2427
Th 9.2774 1.6277 4.9824
Th 6.2492 -1.6277 1.1677
Th 9.6998 -1.6277 1.9074
```

(4)
For Ce3IrSeCl, DFT lattice parameters and positions (GGA-PBE) gives the calculated PXRD pattern in this record (a wavelength of 1.5418 Å).
Intensities are scaled so that the largest is 100.

Largest 10 diffraction maxima, in order of falling intensity, 2θ = 10–90°:
2θ (°)  I (rel.)
30.71  100
31.02  58
29.15  55
36.70  46
44.44  33
46.88  27
42.81  26
32.95  25
12.99  24
45.64  23

Cell and atoms:
```
12
Lattice="8.4574 0.0000 0.0000 0.0000 4.0775 0.0000 -1.7062 0.0000 9.1919" Properties=species:S:1:pos:R:3 pbc="T T T"
Ce -0.0450 1.0194 3.1718
Ce 0.1868 1.0194 9.1204
Ce 2.2021 3.0581 5.6025
Ce 4.5492 1.0194 3.5895
Ce 6.5645 3.0581 0.0715
Ce 6.7962 3.0581 6.0201
Ir 0.2761 1.0194 5.9630
Ir 6.4752 3.0581 3.2289
Se 2.2193 3.0581 2.4584
Se 4.5319 1.0194 6.7335
Cl 1.9230 3.0581 8.3055
Cl 4.8282 1.0194 0.8865
```

(5)
For Tm3Ga6Pd5, DFT lattice parameters and positions (GGA-PBE) gives the calculated PXRD pattern in this record (a wavelength of 1.5418 Å).
Intensities are scaled so that the largest is 100.

Largest 10 diffraction maxima, in order of falling intensity, 2θ = 10–90°:
2θ (°)  I (rel.)
35.59  100
42.24  47
35.84  37
29.72  27
36.00  25
34.28  24
36.59  23
38.64  22
42.80  17
45.05  15

Cell and atoms:
```
28
Lattice="4.2793 0.0000 0.0000 0.0000 12.6764 0.0000 0.0000 0.0000 9.2714" Properties=species:S:1:pos:R:3 pbc="T T T"
Tm 1.0698 0.6320 2.3042
Tm 1.0698 5.7062 2.3042
Tm 1.0698 9.5073 2.3641
Tm 3.2095 3.1691 6.9073
Tm 3.2095 6.9702 6.9672
Tm 3.2095 12.0444 6.9672
Ga 1.0698 0.9017 5.4869
Ga 1.0698 3.1691 0.4067
Ga 1.0698 3.1691 3.8682
Ga 1.0698 5.4365 5.4869
Ga 1.0698 7.5711 9.0719
Ga 1.0698 11.4435 9.0719
Ga 3.2095 1.2329 0.1995
Ga 3.2095 5.1053 0.1995
Ga 3.2095 7.2399 3.7846
Ga 3.2095 9.5073 5.4032
Ga 3.2095 9.5073 8.8647
Ga 3.2095 11.7747 3.7846
Pd 1.0698 1.2053 8.0202
Pd 1.0698 5.1329 8.0202
Pd 1.0698 8.0254 4.9324
Pd 1.0698 9.5073 7.3174
Pd 1.0698 10.9892 4.9324
Pd 3.2095 1.6872 4.3391
Pd 3.2095 3.1691 1.9540
Pd 3.2095 4.6510 4.3391
Pd 3.2095 7.5435 1.2513
Pd 3.2095 11.4711 1.2513
```

(6)
For Pr3SmY6Tm2, DFT lattice parameters and positions (GGA-PBE) gives the calculated PXRD pattern in this record (a wavelength of 1.5418 Å).
Intensities are scaled so that the largest is 100.

Largest 10 diffraction maxima, in order of falling intensity, 2θ = 10–90°:
2θ (°)  I (rel.)
30.41  100
35.30  67
30.55  33
50.68  24
50.87  23
60.28  23
60.35  19
60.51  14
63.27  12
82.55  11

Cell and atoms:
```
12
Lattice="3.1206 -5.4023 0.0000 3.1206 5.4023 0.0000 -2.0728 0.0000 11.7051" Properties=species:S:1:pos:R:3 pbc="T T T"
Pr 0.0000 0.0000 0.0000
Pr 3.1206 1.8035 0.0000
Pr 3.1206 -1.8035 0.0000
Sm 2.0842 0.0000 5.8525
Y 1.0387 1.8035 2.9768
Y 0.0031 0.0000 8.7292
Y 1.0387 -1.8035 2.9768
Y 3.1296 1.8035 8.7283
Y 4.1652 0.0000 2.9758
Y 3.1296 -1.8035 8.7283
Tm 2.0842 3.6007 5.8525
Tm 2.0842 -3.6007 5.8525
```

(7)
For LaY10Ho4, DFT lattice parameters and positions (GGA-PBE) gives the calculated PXRD pattern in this record (a wavelength of 1.5418 Å).
Intensities are scaled so that the largest is 100.

Largest 10 diffraction maxima, in order of falling intensity, 2θ = 10–90°:
2θ (°)  I (rel.)
31.12  100
35.16  81
28.95  68
28.50  67
15.17  58
31.78  47
35.61  37
20.55  31
45.38  28
53.01  26

Cell and atoms:
```
15
Lattice="-6.4270 6.4270 3.2792 6.4270 -6.4270 3.2792 6.4270 6.4270 -3.2792" Properties=species:S:1:pos:R:3 pbc="T T T"
La 0.0000 0.0000 0.0000
Y 4.7701 -2.6792 1.6450
Y 9.1062 -1.6569 1.6341
Y 6.4270 0.0000 1.6396
Y 3.7478 1.6569 1.6341
Y 8.0839 2.6792 1.6450
Y -1.6569 3.7478 1.6341
Y 2.6792 4.7701 1.6450
Y 0.0000 6.4270 1.6396
Y -2.6792 8.0839 1.6450
Y 1.6569 9.1062 1.6341
Ho 5.5710 4.2118 0.0000
Ho 2.2152 -0.8560 3.2792
Ho 4.2118 7.2829 0.0000
Ho 0.8560 2.2152 3.2792
```

(8)
For Ba2Sr2Ge, DFT lattice parameters and positions (GGA-PBE) gives the calculated PXRD pattern in this record (a wavelength of 1.5418 Å).
Intensities are scaled so that the largest is 100.

Largest 10 diffraction maxima, in order of falling intensity, 2θ = 10–90°:
2θ (°)  I (rel.)
26.83  100
45.75  18
33.07  18
43.05  17
47.33  16
71.98  10
24.72  9
61.10  8
59.77  7
20.74  7

Cell and atoms:
```
10
Lattice="8.5663 0.0000 0.0000 0.0000 8.5663 0.0000 0.0000 0.0000 6.6585" Properties=species:S:1:pos:R:3 pbc="T T T"
Ba 1.4674 2.8158 0.0000
Ba 2.8158 7.0990 0.0000
Ba 5.7506 1.4674 0.0000
Ba 7.0990 5.7506 0.0000
Sr 1.3911 5.6743 3.3292
Sr 2.8920 1.3911 3.3292
Sr 5.6743 7.1752 3.3292
Sr 7.1752 2.8920 3.3292
Ge 0.0000 0.0000 3.3292
Ge 4.2832 4.2832 3.3292
```